1.
Theoretical X-ray powder pattern of CsSmZnSe3 for λ = 1.5418 Å (Cu Kα), from a GGA-PBE-relaxed structure.
Lines closer than 0.1° are merged.

Crystal structure
```
data_CsSmZnSe3
_chemical_formula_sum 'Cs4 Sm4 Zn4 Se12'
_space_group_name_H-M_alt 'C m c m'
_space_group_IT_number 63
_space_group_name_Hall '-C 2c 2'
_cell_length_a 4.2454
_cell_length_b 16.2636
_cell_length_c 11.2333
_cell_angle_alpha 90.00
_cell_angle_beta 90.00
_cell_angle_gamma 90.00
loop_
_atom_site_label
_atom_site_type_symbol
_atom_site_fract_x
_atom_site_fract_y
_atom_site_fract_z
Cs1 Cs 0.0000 0.2416 0.2500
Sm1 Sm 0.0000 0.5000 0.0000
Zn1 Zn 0.0000 0.0395 0.7500
Se1 Se 0.0000 0.1178 0.5631
Se2 Se 0.0000 0.4460 0.7500
```

Peak list (10 most intense, 2θ = 10–80°, sorted by position)
- hkl 0 2 0, 2θ 10.88, rel. 64.6
- hkl 0 2 2, 2θ 19.21, rel. 37.8
- hkl 1 3 0, 2θ 26.67, rel. 42.2
- hkl 1 3 1, 2θ 27.85, rel. 100.0
- hkl 1 3 2, 2θ 31.14, rel. 37.2
- hkl 0 0 4, 2θ 31.87, rel. 37.2
- hkl 1 5 2, 2θ 38.37, rel. 47.3
- hkl 2 0 0, 2θ 42.58, rel. 35.1
- hkl 1 3 5, 2θ 48.84, rel. 31.2
- hkl 1 7 3, 2θ 51.02, rel. 30.2

2.
Theoretical X-ray powder pattern of CsTaSe3 for λ = 1.5418 Å (Cu Kα), from a GGA-PBE-relaxed structure.
Lines closer than 0.1° are merged.

Crystal structure
```
data_CsTaSe3
_chemical_formula_sum 'Cs2 Ta2 Se6'
_space_group_name_H-M_alt 'P 63 m c'
_space_group_IT_number 186
_space_group_name_Hall 'P 6c -2c'
_cell_length_a 7.7947
_cell_length_b 7.7947
_cell_length_c 6.1802
_cell_angle_alpha 90.00
_cell_angle_beta 90.00
_cell_angle_gamma 120.00
loop_
_atom_site_label
_atom_site_type_symbol
_atom_site_fract_x
_atom_site_fract_y
_atom_site_fract_z
Cs1 Cs 0.3333 0.6667 0.0000
Ta1 Ta 0.0000 0.0000 0.2049
Se1 Se 0.1568 0.3136 0.4981
```

Peak list (10 most intense, 2θ = 10–80°, sorted by position)
- hkl 1 0 0, 2θ 13.12, rel. 100.0
- hkl 1 1 0, 2θ 22.82, rel. 51.9
- hkl 2 0 1, 2θ 30.17, rel. 98.1
- hkl 1 0 2, 2θ 31.85, rel. 28.5
- hkl 2 0 2, 2θ 39.54, rel. 56.4
- hkl 2 1 2, 2θ 46.14, rel. 33.1
- hkl 2 2 0, 2θ 46.61, rel. 41.8
- hkl 2 0 3, 2θ 52.01, rel. 20.7
- hkl 4 0 1, 2θ 56.53, rel. 15.1
- hkl 4 0 2, 2θ 62.73, rel. 14.2

3.
Theoretical X-ray powder pattern of CsTaSe3 for λ = 1.5418 Å (Cu Kα), from a GGA-PBE-relaxed structure.
Lines closer than 0.1° are merged.

Crystal structure
```
data_CsTaSe3
_chemical_formula_sum 'Cs4 Ta4 Se12'
_space_group_name_H-M_alt 'P n m a'
_space_group_IT_number 62
_space_group_name_Hall '-P 2ac 2n'
_cell_length_a 6.1891
_cell_length_b 7.7601
_cell_length_c 13.4404
_cell_angle_alpha 90.00
_cell_angle_beta 90.00
_cell_angle_gamma 90.00
loop_
_atom_site_label
_atom_site_type_symbol
_atom_site_fract_x
_atom_site_fract_y
_atom_site_fract_z
Cs1 Cs 0.2482 0.2500 0.0835
Ta1 Ta 0.0407 0.7500 0.2523
Se1 Se 0.2471 0.2500 0.5910
Se2 Se 0.2500 0.0109 0.8274
```

Peak list (10 most intense, 2θ = 10–80°, sorted by position)
- hkl 0 0 2, 2θ 13.17, rel. 97.6
- hkl 0 1 3, 2θ 22.92, rel. 52.0
- hkl 1 0 4, 2θ 30.27, rel. 100.0
- hkl 2 1 1, 2θ 31.84, rel. 23.8
- hkl 2 2 2, 2θ 39.59, rel. 54.5
- hkl 2 2 4, 2θ 46.24, rel. 26.8
- hkl 0 4 0, 2θ 46.83, rel. 42.5
- hkl 3 2 2, 2θ 52.02, rel. 21.3
- hkl 1 4 4, 2θ 56.78, rel. 15.6
- hkl 2 0 8, 2θ 62.95, rel. 13.6

4.
Theoretical X-ray powder pattern of CsTh2Se6 for λ = 1.5418 Å (Cu Kα), from a GGA-PBE-relaxed structure.
Lines closer than 0.1° are merged.

Crystal structure
```
data_CsTh2Se6
_chemical_formula_sum 'Cs2 Th4 Se12'
_space_group_name_H-M_alt 'I m m m'
_space_group_IT_number 71
_space_group_name_Hall '-I 2 2'
_cell_length_a 4.2504
_cell_length_b 5.5749
_cell_length_c 24.3610
_cell_angle_alpha 90.00
_cell_angle_beta 90.00
_cell_angle_gamma 90.00
loop_
_atom_site_label
_atom_site_type_symbol
_atom_site_fract_x
_atom_site_fract_y
_atom_site_fract_z
Cs1 Cs 0.0000 0.0000 0.0000
Th1 Th 0.0000 0.0000 0.1839
Se1 Se 0.0000 0.2528 0.3842
Se2 Se 0.0000 0.5000 0.2296
```

Peak list (10 most intense, 2θ = 10–80°, sorted by position)
- hkl 0 1 1, 2θ 16.31, rel. 37.8
- hkl 0 1 5, 2θ 24.26, rel. 30.3
- hkl 1 1 0, 2θ 26.37, rel. 23.6
- hkl 1 0 5, 2θ 27.86, rel. 100.0
- hkl 1 1 6, 2θ 34.53, rel. 51.2
- hkl 1 2 1, 2θ 38.81, rel. 33.1
- hkl 1 2 3, 2θ 40.25, rel. 26.9
- hkl 2 0 0, 2θ 42.54, rel. 22.0
- hkl 0 1 11, 2θ 44.01, rel. 28.7
- hkl 2 1 11, 2θ 62.87, rel. 20.2

5.
Theoretical X-ray powder pattern of CsTmZnSe3 for λ = 1.5418 Å (Cu Kα), from a GGA-PBE-relaxed structure.
Lines closer than 0.1° are merged.

Crystal structure
```
data_CsTmZnSe3
_chemical_formula_sum 'Cs4 Tm4 Zn4 Se12'
_space_group_name_H-M_alt 'C m c m'
_space_group_IT_number 63
_space_group_name_Hall '-C 2c 2'
_cell_length_a 4.1393
_cell_length_b 16.2743
_cell_length_c 10.9120
_cell_angle_alpha 90.00
_cell_angle_beta 90.00
_cell_angle_gamma 90.00
loop_
_atom_site_label
_atom_site_type_symbol
_atom_site_fract_x
_atom_site_fract_y
_atom_site_fract_z
Cs1 Cs 0.0000 0.2423 0.2500
Tm1 Tm 0.0000 0.5000 0.0000
Zn1 Zn 0.0000 0.0396 0.7500
Se1 Se 0.0000 0.1152 0.5560
Se2 Se 0.0000 0.4460 0.7500
```

Peak list (10 most intense, 2θ = 10–80°, sorted by position)
- hkl 0 2 0, 2θ 10.87, rel. 89.7
- hkl 0 2 2, 2θ 19.59, rel. 50.0
- hkl 1 3 0, 2θ 27.10, rel. 46.7
- hkl 1 3 1, 2θ 28.33, rel. 100.0
- hkl 1 3 2, 2θ 31.76, rel. 45.7
- hkl 0 0 4, 2θ 32.83, rel. 45.2
- hkl 1 5 2, 2θ 38.88, rel. 58.2
- hkl 2 0 0, 2θ 43.74, rel. 33.2
- hkl 1 3 5, 2θ 50.16, rel. 35.4
- hkl 1 7 3, 2θ 51.62, rel. 31.1

6.
Theoretical X-ray powder pattern of Cs3VSe4 for λ = 1.5418 Å (Cu Kα), from a GGA-PBE-relaxed structure.
Lines closer than 0.1° are merged.

Crystal structure
```
data_Cs3VSe4
_chemical_formula_sum 'Cs6 V2 Se8'
_space_group_name_H-M_alt 'I -4 3 m'
_space_group_IT_number 217
_space_group_name_Hall 'I -4 2 3'
_cell_length_a 8.6945
_cell_length_b 8.6945
_cell_length_c 8.6945
_cell_angle_alpha 90.00
_cell_angle_beta 90.00
_cell_angle_gamma 90.00
loop_
_atom_site_label
_atom_site_type_symbol
_atom_site_fract_x
_atom_site_fract_y
_atom_site_fract_z
Cs1 Cs 0.0000 0.0000 0.5000
V1 V 0.0000 0.0000 0.0000
Se1 Se 0.1536 0.1536 0.8464
```

Peak list (10 most intense, 2θ = 10–80°, sorted by position)
- hkl 2 0 0, 2θ 20.43, rel. 56.1
- hkl 2 1 1, 2θ 25.09, rel. 68.6
- hkl 2 2 0, 2θ 29.05, rel. 100.0
- hkl 3 1 0, 2θ 32.57, rel. 41.8
- hkl 2 2 2, 2θ 35.78, rel. 41.2
- hkl 3 3 0, 2θ 44.20, rel. 18.8
- hkl 4 2 0, 2θ 46.72, rel. 62.7
- hkl 4 2 2, 2θ 51.49, rel. 34.4
- hkl 4 4 0, 2θ 60.21, rel. 20.5
- hkl 6 0 0, 2θ 64.28, rel. 25.1

7.
Theoretical X-ray powder pattern of CsSi for λ = 1.5418 Å (Cu Kα), from a GGA-PBE-relaxed structure.
Lines closer than 0.1° are merged.

Crystal structure
```
data_CsSi
_chemical_formula_sum 'Cs32 Si32'
_space_group_name_H-M_alt 'I 41/a c d'
_space_group_IT_number 142
_cell_length_a 11.4765
_cell_length_b 11.4765
_cell_length_c 18.6565
_cell_angle_alpha 90.00
_cell_angle_beta 90.00
_cell_angle_gamma 90.00
loop_
_space_group_symop_operation_xyz
'x,y,z'
'-x,-y,-z'
'-y+1/4,x+3/4,z+1/4'
'y+1/4,-x+3/4,-z+1/4'
'-x+1/2,-y,z+1/2'
'x+1/2,y,-z+1/2'
'y+1/4,-x+1/4,z+3/4'
'-y+1/4,x+1/4,-z+3/4'
'x,-y,-z+1/2'
'-x,y,z+1/2'
'-y+1/4,-x+1/4,-z+1/4'
'y+1/4,x+1/4,z+1/4'
'-x+1/2,y,-z'
'x+1/2,-y,z'
'y+1/4,x+3/4,-z+3/4'
'-y+1/4,-x+3/4,z+3/4'
'x+1/2,y+1/2,z+1/2'
'-x+1/2,-y+1/2,-z+1/2'
'-y+3/4,x+1/4,z+3/4'
'y+3/4,-x+1/4,-z+3/4'
'-x,-y+1/2,z'
'x,y+1/2,-z'
'y+3/4,-x+3/4,z+1/4'
'-y+3/4,x+3/4,-z+1/4'
'x+1/2,-y+1/2,-z'
'-x+1/2,y+1/2,z'
'-y+3/4,-x+3/4,-z+3/4'
'y+3/4,x+3/4,z+3/4'
'-x,y+1/2,-z+1/2'
'x,-y+1/2,z+1/2'
'y+3/4,x+1/4,-z+1/4'
'-y+3/4,-x+1/4,z+1/4'
loop_
_atom_site_label
_atom_site_type_symbol
_atom_site_fract_x
_atom_site_fract_y
_atom_site_fract_z
Cs1 Cs 0.1209 0.1291 0.1250
Cs2 Cs 0.1405 0.0000 0.7500
Si1 Si 0.0568 0.1601 0.9208
```

Peak list (10 most intense, 2θ = 10–80°, sorted by position)
- hkl 2 1 3, 2θ 22.46, rel. 100.0
- hkl 2 0 4, 2θ 24.60, rel. 29.1
- hkl 3 1 2, 2θ 26.35, rel. 23.6
- hkl 3 2 1, 2θ 28.45, rel. 86.7
- hkl 2 1 5, 2θ 29.60, rel. 73.6
- hkl 4 0 2, 2θ 32.65, rel. 27.0
- hkl 4 0 4, 2θ 36.78, rel. 20.2
- hkl 4 4 4, 2θ 48.96, rel. 27.4
- hkl 3 2 9, 2θ 52.69, rel. 16.9
- hkl 5 2 7, 2θ 55.20, rel. 17.1

8.
Theoretical X-ray powder pattern of Cs3Si for λ = 1.5418 Å (Cu Kα), from a GGA-PBE-relaxed structure.
Lines closer than 0.1° are merged.

Crystal structure
```
data_Cs3Si
_chemical_formula_sum 'Cs6 Si2'
_space_group_name_H-M_alt 'P 63/m m c'
_space_group_IT_number 194
_space_group_name_Hall '-P 6c 2c'
_cell_length_a 9.5369
_cell_length_b 9.5369
_cell_length_c 5.9304
_cell_angle_alpha 90.00
_cell_angle_beta 90.00
_cell_angle_gamma 120.00
loop_
_atom_site_label
_atom_site_type_symbol
_atom_site_fract_x
_atom_site_fract_y
_atom_site_fract_z
Cs1 Cs 0.1912 0.3823 0.2500
Si1 Si 0.3333 0.6667 0.7500
```

Peak list (10 most intense, 2θ = 10–80°, sorted by position)
- hkl 1 0 1, 2θ 18.42, rel. 35.5
- hkl 2 0 0, 2θ 21.52, rel. 28.7
- hkl 2 0 1, 2θ 26.30, rel. 100.0
- hkl 2 1 0, 2θ 28.59, rel. 21.2
- hkl 0 0 2, 2θ 30.14, rel. 18.8
- hkl 3 0 1, 2θ 35.96, rel. 19.1
- hkl 2 2 0, 2θ 37.73, rel. 17.3
- hkl 2 2 2, 2θ 49.03, rel. 16.1
- hkl 3 2 1, 2θ 50.57, rel. 16.0
- hkl 2 0 3, 2θ 51.23, rel. 15.4